The following is a theoretical powder XRD pattern of Al3ZnPt2. It was derived from a structure optimized by DFT (PBE), using CuKα.
Lines closer than 0.1° are merged.

Top 10 peaks for 10 to 90 degrees two-theta, sorted by position:
| two_theta | I_rel | (hkl) |
| --- | --- | --- |
| 24.77 | 64.7 | 1 1 0 |
| 26.97 | 93.9 | 0 2 1 |
| 29.30 | 65.2 | 1 1 1 |
| 31.09 | 38.9 | 0 0 2 |
| 40.15 | 95.2 | 1 1 2 |
| 43.42 | 100.0 | 1 3 1 |
| 45.19 | 34.9 | 2 0 0 |
| 52.84 | 30.7 | 0 2 3 |
| 53.42 | 29.8 | 2 2 1 |
| 72.02 | 29.5 | 2 2 3 |

Atomic structure:
```
data_Al3ZnPt2
_chemical_formula_sum 'Al6 Zn2 Pt4'
_symmetry_space_group_name_H-M 'P 1'
_symmetry_Int_Tables_number 1
_symmetry_space_group_name_Hall 'P 1'
_cell_length_a 4.0126
_cell_length_b 8.0793
_cell_length_c 5.7536
_cell_angle_alpha 90.00
_cell_angle_beta 90.00
_cell_angle_gamma 90.00
loop_
_atom_site_label
_atom_site_type_symbol
_atom_site_fract_x
_atom_site_fract_y
_atom_site_fract_z
Al1 Al 0.0000 0.0853 0.0000
Al2 Al 0.0000 0.2959 0.3907
Al3 Al 0.0000 0.7041 0.8907
Al4 Al 0.0000 0.9147 0.5000
Al5 Al 0.5000 0.2154 0.7149
Al6 Al 0.5000 0.7846 0.2149
Zn1 Zn 0.5000 0.4192 0.1251
Zn2 Zn 0.5000 0.5808 0.6251
Pt1 Pt 0.0000 0.3894 0.8106
Pt2 Pt 0.0000 0.6106 0.3106
Pt3 Pt 0.5000 0.0941 0.3124
Pt4 Pt 0.5000 0.9059 0.8124
```